1.
Simulated powder X-ray diffraction pattern
Compound: Pr2InPtO6
Radiation: λ = 1.5418 Å (Cu Kα)
Structure: a cell relaxed with GGA-PBE
Kinematic intensities with the Lorentz-polarization factor, no thermal factor.

Largest 8 diffraction maxima, by intensity, 2θ = 10–90°:
| d (Å) | Rel. int. |
| --- | --- |
| 2.905 | 100.0 |
| 2.853 | 85.4 |
| 2.816 | 41.0 |
| 3.126 | 38.0 |
| 2.092 | 28.8 |
| 1.983 | 21.4 |
| 1.652 | 19.3 |
| 1.623 | 18.1 |

Cell and atoms:
Lattice parameters (Å, degrees): 5.633 6.253 9.617 90.00 124.44 90.00
Positions (direct):
Pr 0.226 0.082 0.252
Pr 0.226 0.418 0.752
Pr 0.774 0.582 0.248
Pr 0.774 0.918 0.748
In 0.500 0.000 0.000
In 0.500 0.500 0.500
Pt 0.000 0.000 0.500
Pt 0.000 0.500 0.000
O 0.131 0.173 0.938
O 0.131 0.327 0.438
O 0.253 0.683 0.946
O 0.253 0.817 0.446
O 0.367 0.049 0.739
O 0.367 0.451 0.239
O 0.633 0.549 0.761
O 0.633 0.951 0.261
O 0.747 0.183 0.554
O 0.747 0.317 0.054
O 0.869 0.673 0.562
O 0.869 0.827 0.062

***

2.
Simulated powder X-ray diffraction pattern
Compound: PrIn2ReO8
Radiation: λ = 1.5418 Å (Cu Kα)
Structure: a cell relaxed with GGA-PBE
Kinematic intensities with the Lorentz-polarization factor, no thermal factor.

Largest 8 diffraction maxima, by intensity, 2θ = 10–90°:
| d (Å) | Rel. int. |
| --- | --- |
| 3.527 | 100.0 |
| 2.801 | 87.9 |
| 1.863 | 68.0 |
| 2.494 | 25.2 |
| 1.492 | 19.4 |
| 1.526 | 16.6 |
| 1.578 | 12.2 |
| 1.401 | 10.0 |

Cell and atoms:
Lattice parameters (Å, degrees): 4.985 6.771 4.991 90.00 90.14 90.00
Positions (direct):
Pr 0.000 0.000 0.000
In 0.500 0.252 0.500
In 0.500 0.748 0.500
Re 0.000 0.500 0.000
O 0.187 0.301 0.185
O 0.187 0.699 0.185
O 0.277 0.500 0.721
O 0.316 0.000 0.680
O 0.684 0.000 0.320
O 0.723 0.500 0.279
O 0.813 0.301 0.815
O 0.813 0.699 0.815

***

3.
Simulated powder X-ray diffraction pattern
Compound: PrInSe2O
Radiation: λ = 1.5418 Å (Cu Kα)
Structure: a cell relaxed with GGA-PBE
Kinematic intensities with the Lorentz-polarization factor, no thermal factor.

Largest 8 diffraction maxima, by intensity, 2θ = 10–90°:
| d (Å) | Rel. int. |
| --- | --- |
| 2.918 | 100.0 |
| 2.063 | 43.1 |
| 3.054 | 40.0 |
| 3.529 | 32.3 |
| 2.216 | 29.0 |
| 2.626 | 25.0 |
| 1.792 | 22.8 |
| 1.990 | 20.5 |

Cell and atoms:
Lattice parameters (Å, degrees): 4.127 4.127 13.620 90.00 90.00 90.00
Positions (direct):
Pr 0.250 0.250 0.088
Pr 0.750 0.750 0.912
In 0.250 0.250 0.610
In 0.750 0.750 0.390
Se 0.250 0.250 0.413
Se 0.250 0.250 0.797
Se 0.750 0.750 0.203
Se 0.750 0.750 0.587
O 0.250 0.750 0.000
O 0.750 0.250 0.000

***

4.
Simulated powder X-ray diffraction pattern
Compound: SrPrInO4
Radiation: λ = 1.5418 Å (Cu Kα)
Structure: a cell relaxed with GGA-PBE
Kinematic intensities with the Lorentz-polarization factor, no thermal factor.

Largest 8 diffraction maxima, by intensity, 2θ = 10–90°:
| d (Å) | Rel. int. |
| --- | --- |
| 2.965 | 100.0 |
| 2.953 | 32.0 |
| 3.026 | 26.6 |
| 1.707 | 24.5 |
| 2.113 | 23.0 |
| 2.082 | 17.9 |
| 1.826 | 12.5 |
| 2.149 | 12.1 |

Cell and atoms:
Lattice parameters (Å, degrees): 5.906 6.053 12.482 90.00 90.00 90.00
Positions (direct):
Sr 0.006 0.047 0.351
Sr 0.494 0.953 0.851
Sr 0.506 0.453 0.649
Sr 0.994 0.547 0.149
Pr 0.014 0.436 0.852
Pr 0.486 0.564 0.352
Pr 0.514 0.064 0.148
Pr 0.986 0.936 0.648
In 0.004 0.993 0.001
In 0.496 0.007 0.501
In 0.504 0.507 0.999
In 0.996 0.493 0.499
O 0.081 0.046 0.822
O 0.110 0.459 0.332
O 0.189 0.195 0.539
O 0.215 0.287 0.031
O 0.285 0.713 0.531
O 0.311 0.805 0.039
O 0.390 0.541 0.832
O 0.419 0.954 0.322
O 0.581 0.454 0.178
O 0.610 0.041 0.668
O 0.689 0.305 0.461
O 0.715 0.213 0.969
O 0.785 0.787 0.469
O 0.811 0.695 0.961
O 0.890 0.959 0.168
O 0.919 0.546 0.678

***

5.
Simulated powder X-ray diffraction pattern
Compound: SmInPtO6
Radiation: λ = 1.5418 Å (Cu Kα)
Structure: a cell relaxed with GGA-PBE
Kinematic intensities with the Lorentz-polarization factor, no thermal factor.

Largest 8 diffraction maxima, by intensity, 2θ = 10–90°:
| d (Å) | Rel. int. |
| --- | --- |
| 3.518 | 100.0 |
| 2.790 | 90.2 |
| 1.857 | 68.8 |
| 2.487 | 26.1 |
| 1.488 | 19.4 |
| 1.520 | 16.9 |
| 1.573 | 16.8 |
| 1.759 | 16.6 |

Cell and atoms:
Lattice parameters (Å, degrees): 4.975 4.975 10.110 90.00 90.00 90.00
Positions (direct):
Sm 0.000 0.000 0.000
Sm 0.500 0.500 0.500
In 0.000 0.000 0.662
In 0.500 0.500 0.162
Pt 0.000 0.000 0.329
Pt 0.500 0.500 0.829
O 0.179 0.179 0.479
O 0.195 0.195 0.182
O 0.223 0.223 0.825
O 0.277 0.723 0.325
O 0.305 0.695 0.682
O 0.321 0.679 0.979
O 0.679 0.321 0.979
O 0.695 0.305 0.682
O 0.723 0.277 0.325
O 0.777 0.777 0.825
O 0.805 0.805 0.182
O 0.821 0.821 0.479

***

6.
Simulated powder X-ray diffraction pattern
Compound: TlInPtO6
Radiation: λ = 1.5418 Å (Cu Kα)
Structure: a cell relaxed with GGA-PBE
Kinematic intensities with the Lorentz-polarization factor, no thermal factor.

Largest 8 diffraction maxima, by intensity, 2θ = 10–90°:
| d (Å) | Rel. int. |
| --- | --- |
| 3.453 | 100.0 |
| 2.776 | 94.2 |
| 1.834 | 69.9 |
| 2.442 | 27.5 |
| 1.466 | 19.5 |
| 1.516 | 18.0 |
| 1.544 | 16.9 |
| 1.727 | 16.1 |

Cell and atoms:
Lattice parameters (Å, degrees): 4.884 4.884 10.124 90.00 90.00 90.00
Positions (direct):
Tl 0.000 0.000 0.000
Tl 0.500 0.500 0.500
In 0.000 0.000 0.334
In 0.500 0.500 0.834
Pt 0.000 0.000 0.668
Pt 0.500 0.500 0.168
O 0.180 0.180 0.514
O 0.189 0.189 0.816
O 0.218 0.218 0.173
O 0.282 0.718 0.673
O 0.311 0.689 0.316
O 0.320 0.680 0.014
O 0.680 0.320 0.014
O 0.689 0.311 0.316
O 0.718 0.282 0.673
O 0.782 0.782 0.173
O 0.811 0.811 0.816
O 0.820 0.820 0.514

***

7.
Simulated powder X-ray diffraction pattern
Compound: ZnInPtO4
Radiation: λ = 1.5418 Å (Cu Kα)
Structure: a cell relaxed with GGA-PBE
Kinematic intensities with the Lorentz-polarization factor, no thermal factor.

Largest 8 diffraction maxima, by intensity, 2θ = 10–90°:
| d (Å) | Rel. int. |
| --- | --- |
| 2.730 | 100.0 |
| 5.183 | 77.8 |
| 2.593 | 60.5 |
| 2.668 | 48.4 |
| 1.580 | 41.6 |
| 2.270 | 31.6 |
| 1.745 | 29.9 |
| 2.200 | 14.5 |

Cell and atoms:
Lattice parameters (Å, degrees): 6.322 6.322 6.322 119.07 118.88 91.78
Positions (direct):
Zn 0.381 0.131 0.250
Zn 0.619 0.869 0.750
In 0.000 0.000 0.500
In 0.000 0.500 0.000
Pt 0.000 0.500 0.500
Pt 0.500 0.500 0.000
O 0.224 0.738 0.487
O 0.249 0.262 0.987
O 0.251 0.273 0.522
O 0.251 0.728 0.978
O 0.749 0.272 0.022
O 0.749 0.727 0.478
O 0.751 0.738 0.013
O 0.776 0.262 0.513

***

8.
Simulated powder X-ray diffraction pattern
Compound: PuInRhO6
Radiation: λ = 1.5418 Å (Cu Kα)
Structure: a cell relaxed with GGA-PBE
Kinematic intensities with the Lorentz-polarization factor, no thermal factor.

Largest 8 diffraction maxima, by intensity, 2θ = 10–90°:
| d (Å) | Rel. int. |
| --- | --- |
| 3.316 | 100.0 |
| 2.621 | 53.6 |
| 1.781 | 51.4 |
| 4.854 | 26.8 |
| 2.056 | 26.3 |
| 1.618 | 25.7 |
| 2.306 | 24.9 |
| 4.112 | 22.6 |

Cell and atoms:
Lattice parameters (Å, degrees): 5.242 5.242 9.707 90.00 90.00 120.00
Positions (direct):
Pu 0.333 0.667 0.250
Pu 0.667 0.333 0.750
In 0.000 0.000 0.000
In 0.000 0.000 0.500
Rh 0.333 0.667 0.750
Rh 0.667 0.333 0.250
O 0.008 0.347 0.631
O 0.008 0.661 0.869
O 0.339 0.347 0.869
O 0.339 0.992 0.631
O 0.347 0.008 0.131
O 0.347 0.339 0.369
O 0.653 0.661 0.631
O 0.653 0.992 0.869
O 0.661 0.008 0.369
O 0.661 0.653 0.131
O 0.992 0.339 0.131
O 0.992 0.653 0.369

***

9.
Simulated powder X-ray diffraction pattern
Compound: SmPuInO6
Radiation: λ = 1.5418 Å (Cu Kα)
Structure: a cell relaxed with GGA-PBE
Kinematic intensities with the Lorentz-polarization factor, no thermal factor.

Largest 8 diffraction maxima, by intensity, 2θ = 10–90°:
| d (Å) | Rel. int. |
| --- | --- |
| 3.481 | 100.0 |
| 2.777 | 52.9 |
| 1.867 | 48.7 |
| 2.171 | 27.4 |
| 1.710 | 26.5 |
| 5.045 | 17.5 |
| 4.341 | 17.0 |
| 1.603 | 16.9 |

Cell and atoms:
Lattice parameters (Å, degrees): 5.553 5.553 10.089 90.00 90.00 120.00
Positions (direct):
Sm 0.000 0.000 0.000
Sm 0.000 0.000 0.500
Pu 0.333 0.667 0.250
Pu 0.667 0.333 0.750
In 0.333 0.667 0.750
In 0.667 0.333 0.250
O 0.017 0.357 0.136
O 0.017 0.660 0.364
O 0.340 0.357 0.364
O 0.340 0.983 0.136
O 0.357 0.017 0.636
O 0.357 0.340 0.864
O 0.643 0.660 0.136
O 0.643 0.983 0.364
O 0.660 0.017 0.864
O 0.660 0.643 0.636
O 0.983 0.340 0.636
O 0.983 0.643 0.864

***

10.
Simulated powder X-ray diffraction pattern
Compound: SrPuIn2O8
Radiation: λ = 1.5418 Å (Cu Kα)
Structure: a cell relaxed with GGA-PBE
Kinematic intensities with the Lorentz-polarization factor, no thermal factor.

Largest 8 diffraction maxima, by intensity, 2θ = 10–90°:
| d (Å) | Rel. int. |
| --- | --- |
| 3.578 | 100.0 |
| 2.883 | 86.4 |
| 1.901 | 69.5 |
| 2.530 | 26.2 |
| 7.016 | 22.7 |
| 1.575 | 17.4 |
| 4.104 | 16.3 |
| 1.789 | 15.6 |

Cell and atoms:
Lattice parameters (Å, degrees): 5.053 7.016 5.066 90.00 90.09 90.00
Positions (direct):
Sr 0.000 0.000 0.000
Pu 0.000 0.500 0.000
In 0.500 0.262 0.500
In 0.500 0.738 0.500
O 0.195 0.296 0.181
O 0.195 0.704 0.181
O 0.293 0.500 0.695
O 0.318 0.000 0.642
O 0.682 0.000 0.358
O 0.707 0.500 0.305
O 0.805 0.296 0.819
O 0.805 0.704 0.819

***

11.
Simulated powder X-ray diffraction pattern
Compound: RbInO2
Radiation: λ = 1.5418 Å (Cu Kα)
Structure: a cell relaxed with GGA-PBE
Kinematic intensities with the Lorentz-polarization factor, no thermal factor.

Largest 8 diffraction maxima, by intensity, 2θ = 10–90°:
| d (Å) | Rel. int. |
| --- | --- |
| 3.156 | 100.0 |
| 2.464 | 76.4 |
| 2.827 | 67.6 |
| 1.869 | 58.5 |
| 2.868 | 56.5 |
| 1.571 | 30.3 |
| 1.445 | 19.3 |
| 1.706 | 18.8 |

Cell and atoms:
Lattice parameters (Å, degrees): 3.250 7.558 5.737 90.00 90.00 90.00
Positions (direct):
Rb 0.000 0.128 0.000
Rb 0.500 0.872 0.500
In 0.000 0.619 0.985
In 0.500 0.381 0.485
O 0.000 0.191 0.502
O 0.000 0.557 0.614
O 0.500 0.443 0.114
O 0.500 0.809 0.002

***

12.
Simulated powder X-ray diffraction pattern
Compound: RbInO2
Radiation: λ = 1.5418 Å (Cu Kα)
Structure: a cell relaxed with GGA-PBE
Kinematic intensities with the Lorentz-polarization factor, no thermal factor.

Largest 8 diffraction maxima, by intensity, 2θ = 10–90°:
| d (Å) | Rel. int. |
| --- | --- |
| 3.543 | 100.0 |
| 2.325 | 75.3 |
| 2.505 | 44.1 |
| 1.944 | 39.1 |
| 3.080 | 26.2 |
| 1.409 | 25.8 |
| 1.536 | 22.8 |
| 1.584 | 21.7 |

Cell and atoms:
Lattice parameters (Å, degrees): 7.086 7.086 6.161 90.00 90.00 90.00
Positions (direct):
Rb 0.000 0.000 0.250
Rb 0.000 0.000 0.750
Rb 0.500 0.500 0.250
Rb 0.500 0.500 0.750
In 0.000 0.500 0.250
In 0.000 0.500 0.750
In 0.500 0.000 0.250
In 0.500 0.000 0.750
O 0.146 0.354 0.000
O 0.146 0.646 0.500
O 0.354 0.146 0.500
O 0.354 0.854 0.000
O 0.646 0.146 0.000
O 0.646 0.854 0.500
O 0.854 0.354 0.500
O 0.854 0.646 0.000